Diffraction record for Cs2K4Co2O5. The powder diffraction line list is theoretical, not measured: it uses the PBE+U geometry in OQMD and Cu Kα (λ = 1.5418 Å).
Lines closer than 0.1° are merged.

Atomic structure:
a b c (Å): 6.6370 6.6370 6.8661
angles (deg): 90.29 90.29 116.77
Atoms (fractional coordinates):
Cs  0.1781  0.1781  0.2939
Cs  0.8219  0.8219  0.7061
K  0.2646  0.7354  0.0000
K  0.2809  0.7191  0.5000
K  0.7191  0.2809  0.5000
K  0.7354  0.2646  0.0000
Co  0.2951  0.2951  0.8025
Co  0.7049  0.7049  0.1975
O  0.0658  0.3590  0.7311
O  0.3590  0.0658  0.7311
O  0.5000  0.5000  0.0000
O  0.6410  0.9342  0.2689
O  0.9342  0.6410  0.2689

Top 6 peaks for 10° ≤ 2θ ≤ 80°, sorted by position:
| d_spacing | 2theta | intensity |
| --- | --- | --- |
| 5.652 | 15.68 | 62 |
| 2.982 | 29.97 | 54 |
| 2.963 | 30.16 | 82 |
| 2.934 | 30.47 | 100 |
| 2.826 | 31.66 | 53 |
| 2.432 | 36.97 | 40 |